Theoretical X-ray powder pattern of SrSn2Br6O5 for λ = 1.5418 Å (Cu Kα), from a DFT-relaxed cell (GGA-PBE, the Materials Project).
Intensities are scaled so that the largest is 100.

Structural model:
```
data_SrSn2Br6O5
_chemical_formula_sum 'Sr4 Sn8 Br24 O20'
_cell_length_a 11.720
_cell_length_b 14.660
_cell_length_c 11.045
_cell_angle_alpha 90.00
_cell_angle_beta 119.30
_cell_angle_gamma 90.00
_space_group_name_H-M_alt 'C 1 2/c 1'
_space_group_IT_number 15
loop_
_space_group_symop_operation_xyz
'x,y,z'
'-x,-y,-z'
'-x,y,-z+1/2'
'x,-y,z+1/2'
'x+1/2,y+1/2,z'
'-x+1/2,-y+1/2,-z'
'-x+1/2,y+1/2,-z+1/2'
'x+1/2,-y+1/2,z+1/2'
loop_
_atom_site_label
_atom_site_type_symbol
_atom_site_fract_x
_atom_site_fract_y
_atom_site_fract_z
Sr1 Sr 0.000 0.121 0.250
Sn1 Sn 0.208 0.421 0.089
Br1 Br 0.026 0.393 0.590
Br2 Br 0.186 0.157 0.036
Br3 Br 0.198 0.325 0.291
O1 O 0.000 0.301 0.250
O2 O 0.030 0.036 0.506
O3 O 0.185 0.026 0.330
```

The 10 most intense peaks (2θ = 10–80°), low angle first:
h k l	d [Å]	2θ/deg	I_rel
1 1 1	5.349	16.6	100.0
1 1 -2	5.167	17.2	60.3
2 2 -1	4.574	19.4	61.1
0 4 0	3.664	24.3	80.6
1 1 -3	3.505	25.4	60.9
2 2 1	3.379	26.4	76.1
3 3 -2	2.995	29.8	84.3
2 0 -4	2.760	32.4	46.2
3 3 -3	2.716	33.0	43.2
1 5 -2	2.589	34.6	56.6

=====

Theoretical X-ray powder pattern of SbTe2F6 for λ = 1.5418 Å (Cu Kα), from a DFT-relaxed cell (GGA-PBE, the Materials Project).
Intensities are scaled so that the largest is 100.

Structural model:
```
data_SbTe2F6
_chemical_formula_sum 'Sb2 Te4 F12'
_cell_length_a 5.806
_cell_length_b 8.187
_cell_length_c 8.512
_cell_angle_alpha 72.48
_cell_angle_beta 76.96
_cell_angle_gamma 77.65
_space_group_name_H-M_alt 'P -1'
_space_group_IT_number 2
loop_
_space_group_symop_operation_xyz
'x,y,z'
'-x,-y,-z'
loop_
_atom_site_label
_atom_site_type_symbol
_atom_site_fract_x
_atom_site_fract_y
_atom_site_fract_z
Sb1 Sb 0.107 0.178 0.162
Te1 Te 0.344 0.557 0.308
Te2 Te 0.428 0.270 0.563
F1 F 0.043 0.207 0.944
F2 F 0.082 0.603 0.819
F3 F 0.165 0.936 0.734
F4 F 0.178 0.156 0.381
F5 F 0.306 0.956 0.165
F6 F 0.384 0.290 0.066
```

The 10 most intense peaks (2θ = 10–80°), low angle first:
h k l	d [Å]	2θ/deg	I_rel
1 1 1	4.941	18.0	36.2
1 0 -1	4.247	20.9	100.0
1 -1 0	4.220	21.1	47.2
0 1 2	4.008	22.2	27.1
-1 1 1	3.750	23.7	51.9
1 -1 1	3.709	24.0	20.5
0 1 -2	3.217	27.7	26.7
1 2 2	3.205	27.8	23.8
2 1 1	2.864	31.2	20.7
1 1 4	2.101	43.0	24.4

=====

Theoretical X-ray powder pattern of Zn2NiIr for λ = 1.5418 Å (Cu Kα), from a DFT-relaxed cell (GGA-PBE, the Materials Project).
Intensities are scaled so that the largest is 100.

Structural model:
```
data_Zn2NiIr
_chemical_formula_sum 'Zn8 Ni4 Ir4'
_cell_length_a 5.951
_cell_length_b 5.951
_cell_length_c 5.951
_cell_angle_alpha 90.00
_cell_angle_beta 90.00
_cell_angle_gamma 90.00
_space_group_name_H-M_alt 'F m -3 m'
_space_group_IT_number 225
_space_group_name_Hall '-F 4 2 3'
loop_
_atom_site_label
_atom_site_type_symbol
_atom_site_fract_x
_atom_site_fract_y
_atom_site_fract_z
Zn1 Zn 0.250 0.250 0.250
Ni1 Ni 0.000 0.000 0.000
Ir1 Ir 0.000 0.000 0.500
```

The 9 most intense peaks (2θ = 10–80°), low angle first:
h k l	d [Å]	2θ/deg	I_rel
1 1 1	3.436	25.9	24.2
2 0 0	2.976	30.0	10.3
2 2 0	2.104	43.0	100.0
3 1 1	1.794	50.9	12.5
2 2 2	1.718	53.3	2.9
4 0 0	1.488	62.4	16.1
3 3 1	1.365	68.8	5.3
4 2 0	1.331	70.8	3.9
4 2 2	1.215	78.8	32.2

=====

Theoretical X-ray powder pattern of CrInBr3 for λ = 1.5418 Å (Cu Kα), from a DFT-relaxed cell (GGA-PBE, the Materials Project).
Intensities are scaled so that the largest is 100.

Structural model:
```
data_CrInBr3
_chemical_formula_sum 'Cr4 In4 Br12'
_cell_length_a 4.296
_cell_length_b 15.155
_cell_length_c 9.532
_cell_angle_alpha 90.00
_cell_angle_beta 96.14
_cell_angle_gamma 90.00
_space_group_name_H-M_alt 'P 1 21/c 1'
_space_group_IT_number 14
loop_
_space_group_symop_operation_xyz
'x,y,z'
'-x,-y,-z'
'-x,y+1/2,-z+1/2'
'x,-y+1/2,z+1/2'
loop_
_atom_site_label
_atom_site_type_symbol
_atom_site_fract_x
_atom_site_fract_y
_atom_site_fract_z
Cr1 Cr 0.231 0.048 0.160
In1 In 0.243 0.665 0.965
Br1 Br 0.200 0.599 0.529
Br2 Br 0.252 0.198 0.274
Br3 Br 0.308 0.007 0.674
```

The 10 most intense peaks (2θ = 10–80°), low angle first:
h k l	d [Å]	2θ/deg	I_rel
0 3 1	4.458	19.9	21.3
1 1 -2	3.277	27.2	70.6
1 3 -1	3.165	28.2	21.5
1 2 -2	3.069	29.1	39.1
1 3 1	3.010	29.7	27.7
1 1 2	2.959	30.2	100.0
0 2 3	2.916	30.7	23.1
0 5 1	2.887	31.0	35.6
1 2 2	2.802	31.9	20.7
2 0 0	2.136	42.3	34.4

=====

Theoretical X-ray powder pattern of PmCdAg2 for λ = 1.5418 Å (Cu Kα), from a DFT-relaxed cell (GGA-PBE, the Materials Project).
Intensities are scaled so that the largest is 100.

Structural model:
```
data_PmCdAg2
_chemical_formula_sum 'Pm4 Cd4 Ag8'
_cell_length_a 7.130
_cell_length_b 7.130
_cell_length_c 7.130
_cell_angle_alpha 90.00
_cell_angle_beta 90.00
_cell_angle_gamma 90.00
_space_group_name_H-M_alt 'F m -3 m'
_space_group_IT_number 225
_space_group_name_Hall '-F 4 2 3'
loop_
_atom_site_label
_atom_site_type_symbol
_atom_site_fract_x
_atom_site_fract_y
_atom_site_fract_z
Pm1 Pm 0.000 0.000 0.000
Cd1 Cd 0.000 0.000 0.500
Ag1 Ag 0.250 0.250 0.250
```

The 7 most intense peaks (2θ = 10–80°), low angle first:
h k l	d [Å]	2θ/deg	I_rel
1 1 1	4.116	21.6	1.0
2 0 0	3.565	25.0	0.7
2 2 0	2.521	35.6	100.0
3 1 1	2.150	42.0	0.6
4 0 0	1.782	51.3	17.2
4 2 2	1.455	64.0	34.4
4 4 0	1.260	75.4	10.6

=====

Theoretical X-ray powder pattern of YBr3O8 for λ = 1.5418 Å (Cu Kα), from a DFT-relaxed cell (GGA-PBE, the Materials Project).
Intensities are scaled so that the largest is 100.

Structural model:
```
data_YBr3O8
_chemical_formula_sum 'Y4 Br12 O32'
_cell_length_a 7.288
_cell_length_b 12.724
_cell_length_c 10.821
_cell_angle_alpha 90.00
_cell_angle_beta 123.19
_cell_angle_gamma 90.00
_space_group_name_H-M_alt 'P 1 21/c 1'
_space_group_IT_number 14
loop_
_space_group_symop_operation_xyz
'x,y,z'
'-x,-y,-z'
'-x,y+1/2,-z+1/2'
'x,-y+1/2,z+1/2'
loop_
_atom_site_label
_atom_site_type_symbol
_atom_site_fract_x
_atom_site_fract_y
_atom_site_fract_z
Y1 Y 0.145 0.142 0.276
Br1 Br 0.038 0.633 0.968
Br2 Br 0.190 0.622 0.692
Br3 Br 0.432 0.136 0.058
O1 O 0.012 0.231 0.052
O2 O 0.105 0.529 0.433
O3 O 0.108 0.723 0.756
O4 O 0.123 0.084 0.471
O5 O 0.180 0.545 0.345
O6 O 0.289 0.530 0.833
O7 O 0.408 0.248 0.962
O8 O 0.445 0.152 0.220
```

The 10 most intense peaks (2θ = 10–80°), low angle first:
h k l	d [Å]	2θ/deg	I_rel
1 0 0	6.099	14.5	53.6
1 1 1	3.920	22.7	100.0
2 1 -2	3.466	25.7	82.0
0 4 0	3.181	28.1	51.9
1 2 -3	3.133	28.5	76.9
2 2 -1	3.090	28.9	37.1
1 3 1	2.955	30.2	87.3
1 3 -3	2.746	32.6	22.5
2 5 -2	2.079	43.5	23.6
1 6 -3	1.827	49.9	22.2

=====

Theoretical X-ray powder pattern of EuGe2Pt2 for λ = 1.5418 Å (Cu Kα), from a DFT-relaxed cell (GGA-PBE, the Materials Project).
Intensities are scaled so that the largest is 100.

Structural model:
```
data_EuGe2Pt2
_chemical_formula_sum 'Eu2 Ge4 Pt4'
_cell_length_a 4.400
_cell_length_b 4.378
_cell_length_c 10.201
_cell_angle_alpha 90.00
_cell_angle_beta 90.39
_cell_angle_gamma 90.00
_space_group_name_H-M_alt 'P 1 21/m 1'
_space_group_IT_number 11
loop_
_space_group_symop_operation_xyz
'x,y,z'
'-x,-y,-z'
'-x,y+1/2,-z'
'x,-y+1/2,z'
loop_
_atom_site_label
_atom_site_type_symbol
_atom_site_fract_x
_atom_site_fract_y
_atom_site_fract_z
Eu1 Eu 0.248 0.250 0.247
Ge1 Ge 0.246 0.750 0.000
Ge2 Ge 0.261 0.250 0.629
Pt1 Pt 0.237 0.750 0.499
Pt2 Pt 0.252 0.250 0.873
```

The 10 most intense peaks (2θ = 10–80°), low angle first:
h k l	d [Å]	2θ/deg	I_rel
1 1 1	2.969	30.1	58.3
1 0 -3	2.699	33.2	34.1
0 1 3	2.684	33.4	91.1
1 1 -2	2.657	33.7	99.2
1 1 2	2.645	33.9	100.0
2 0 0	2.200	41.0	75.2
0 2 0	2.189	41.2	74.6
1 1 -4	1.975	46.0	33.8
1 0 5	1.848	49.3	36.4
2 2 0	1.552	59.6	50.3